Entry 1:
The following is a theoretical XRD peak list of TiNbPt6. It was derived from a GGA-PBE-relaxed structure, using Cu Ka.

Structure:
a b c (Å): 3.977 3.977 7.959
angles (deg): 90.00 90.00 90.00
Positions (direct):
Ti 0.000 0.000 0.000
Nb 0.000 0.000 0.500
Pt 0.000 0.500 0.248
Pt 0.000 0.500 0.752
Pt 0.500 0.000 0.248
Pt 0.500 0.000 0.752
Pt 0.500 0.500 0.000
Pt 0.500 0.500 0.500

Peak list (8 most intense, 15° ≤ 2θ ≤ 90°, most intense first)
2theta	I_rel
39.23	100
45.61	49
80.00	38
66.48	32
84.34	11
22.35	10
31.81	9
51.36	5

Entry 2:
The following is a theoretical XRD peak list of UNbPt6. It was derived from a GGA-PBE-relaxed structure, using Cu Ka.

Structure:
a b c (Å): 4.084 4.084 8.192
angles (deg): 90.00 90.00 90.00
Positions (direct):
U 0.000 0.000 0.000
Nb 0.000 0.000 0.500
Pt 0.000 0.500 0.263
Pt 0.000 0.500 0.737
Pt 0.500 0.000 0.263
Pt 0.500 0.000 0.737
Pt 0.500 0.500 0.000
Pt 0.500 0.500 0.500

Peak list (8 most intense, 15° ≤ 2θ ≤ 90°, most intense first)
2theta	I_rel
38.13	100
44.36	33
77.49	26
64.43	21
44.23	16
77.30	12
64.53	11
81.57	11

Entry 3:
The following is a theoretical XRD peak list of Nb6VPt. It was derived from a GGA-PBE-relaxed structure, using Cu Ka.

Structure:
a b c (Å): 7.259 7.259 7.259
angles (deg): 142.80 142.80 53.62
Positions (direct):
Nb 0.124 0.624 0.500
Nb 0.245 0.245 0.000
Nb 0.376 0.876 0.500
Nb 0.624 0.124 0.500
Nb 0.755 0.755 0.000
Nb 0.876 0.376 0.500
V 0.000 0.000 0.000
Pt 0.500 0.500 0.000

Peak list (8 most intense, 15° ≤ 2θ ≤ 90°, most intense first)
2theta	I_rel
39.12	100
38.90	51
70.59	34
56.19	17
71.02	17
20.37	14
84.07	11
56.85	10

Entry 4:
The following is a theoretical XRD peak list of Nb2PtW. It was derived from a GGA-PBE-relaxed structure, using Cu Ka.

Structure:
a b c (Å): 3.308 3.308 6.244
angles (deg): 90.00 90.00 90.00
Positions (direct):
Nb 0.000 0.000 0.243
Nb 0.000 0.000 0.757
Pt 0.500 0.500 0.500
W 0.500 0.500 0.000

Peak list (8 most intense, 15° ≤ 2θ ≤ 90°, most intense first)
2theta	I_rel
39.69	100
38.48	55
70.42	37
55.55	19
72.84	17
26.95	14
85.53	11
59.19	8

Entry 5:
The following is a theoretical XRD peak list of NbPt6W2. It was derived from a GGA-PBE-relaxed structure, using Cu Ka.

Structure:
a b c (Å): 7.867 7.867 7.867
angles (deg): 150.64 139.04 51.19
Positions (direct):
Nb 0.000 0.000 0.000
Pt 0.052 0.791 0.261
Pt 0.171 0.417 0.755
Pt 0.356 0.607 0.749
Pt 0.530 0.791 0.739
Pt 0.662 0.417 0.245
Pt 0.858 0.607 0.251
W 0.518 0.018 0.500
W 0.715 0.215 0.500

Peak list (8 most intense, 15° ≤ 2θ ≤ 90°, most intense first)
2theta	I_rel
38.95	100
40.32	86
45.49	36
50.90	33
70.63	25
81.36	25
41.52	20
86.89	17

Entry 6:
The following is a theoretical XRD peak list of NbZnPt. It was derived from a GGA-PBE-relaxed structure, using Cu Ka.

Structure:
a b c (Å): 4.588 4.588 5.271
angles (deg): 90.00 90.00 120.00
Positions (direct):
Nb 0.000 0.000 0.238
Nb 0.000 0.000 0.762
Zn 0.333 0.667 0.500
Zn 0.667 0.333 0.500
Pt 0.333 0.667 0.000
Pt 0.667 0.333 0.000

Peak list (8 most intense, 15° ≤ 2θ ≤ 90°, most intense first)
2theta	I_rel
39.28	100
41.10	70
16.82	34
72.43	26
58.15	25
84.86	21
43.00	20
52.92	19

Entry 7:
The following is a theoretical XRD peak list of NbZnPt. It was derived from a GGA-PBE-relaxed structure, using Cu Ka.

Structure:
a b c (Å): 5.476 5.476 7.753
angles (deg): 121.88 121.88 29.67
Positions (direct):
Nb 0.000 0.000 0.000
Nb 0.199 0.199 0.652
Zn 0.441 0.441 0.301
Zn 0.458 0.458 0.648
Pt 0.719 0.719 0.352
Pt 0.728 0.728 0.983

Peak list (8 most intense, 15° ≤ 2θ ≤ 90°, most intense first)
2theta	I_rel
40.00	100
39.18	88
41.73	80
40.70	79
20.03	68
38.47	67
41.21	52
44.54	50

Entry 8:
The following is a theoretical XRD peak list of PuNbRe4. It was derived from a GGA-PBE-relaxed structure, using Cu Ka.

Structure:
a b c (Å): 5.316 5.316 5.316
angles (deg): 60.00 60.00 60.00
Positions (direct):
Pu 0.000 0.000 0.000
Nb 0.750 0.750 0.750
Re 0.375 0.375 0.375
Re 0.375 0.375 0.874
Re 0.375 0.874 0.375
Re 0.874 0.375 0.375

Peak list (8 most intense, 15° ≤ 2θ ≤ 90°, most intense first)
2theta	I_rel
39.76	100
41.61	44
64.39	33
70.90	28
33.72	23
85.71	18
20.46	13
84.50	12

Entry 9:
The following is a theoretical XRD peak list of Pu2Nb2Ru3. It was derived from a GGA-PBE-relaxed structure, using Cu Ka.

Structure:
a b c (Å): 4.298 3.057 10.385
angles (deg): 90.00 98.73 90.00
Positions (direct):
Pu 0.104 0.000 0.141
Pu 0.896 0.000 0.859
Nb 0.296 0.000 0.626
Nb 0.704 0.000 0.374
Ru 0.214 0.500 0.400
Ru 0.500 0.500 0.000
Ru 0.786 0.500 0.600

Peak list (8 most intense, 15° ≤ 2θ ≤ 90°, most intense first)
2theta	I_rel
38.89	100
38.09	99
36.15	98
42.11	77
41.82	76
29.24	74
34.97	71
21.39	58

Entry 10:
The following is a theoretical XRD peak list of PuNb4S8. It was derived from a GGA-PBE-relaxed structure, using Cu Ka.

Structure:
a b c (Å): 7.325 7.325 7.325
angles (deg): 60.00 60.00 60.00
Positions (direct):
Pu 0.000 0.000 0.000
Nb 0.186 0.605 0.605
Nb 0.605 0.186 0.605
Nb 0.605 0.605 0.186
Nb 0.605 0.605 0.605
S 0.371 0.371 0.371
S 0.371 0.371 0.888
S 0.371 0.888 0.371
S 0.435 0.855 0.855
S 0.855 0.435 0.855
S 0.855 0.855 0.435
S 0.855 0.855 0.855
S 0.888 0.371 0.371

Peak list (8 most intense, 15° ≤ 2θ ≤ 90°, most intense first)
2theta	I_rel
28.58	100
45.50	67
17.12	56
49.79	49
24.30	43
42.76	28
37.86	28
69.72	21

Entry 11:
The following is a theoretical XRD peak list of PuNbS. It was derived from a GGA-PBE-relaxed structure, using Cu Ka.

Structure:
a b c (Å): 3.619 4.819 7.169
angles (deg): 90.00 90.00 90.00
Positions (direct):
Pu 0.250 0.250 0.079
Pu 0.750 0.750 0.921
Nb 0.250 0.250 0.579
Nb 0.750 0.750 0.421
S 0.250 0.750 0.651
S 0.750 0.250 0.349

Peak list (8 most intense, 15° ≤ 2θ ≤ 90°, most intense first)
2theta	I_rel
30.90	100
35.24	76
31.09	67
52.26	49
37.32	45
40.04	42
33.39	37
24.84	29

Entry 12:
The following is a theoretical XRD peak list of PuNb2Se6. It was derived from a GGA-PBE-relaxed structure, using Cu Ka.

Structure:
a b c (Å): 7.042 7.042 9.014
angles (deg): 124.48 124.48 41.90
Positions (direct):
Pu 0.000 0.000 0.000
Nb 0.196 0.196 0.633
Nb 0.804 0.804 0.367
Se 0.034 0.034 0.699
Se 0.261 0.261 0.395
Se 0.365 0.365 0.974
Se 0.635 0.635 0.026
Se 0.739 0.739 0.605
Se 0.966 0.966 0.301

Peak list (8 most intense, 15° ≤ 2θ ≤ 90°, most intense first)
2theta	I_rel
19.56	100
40.39	87
35.66	80
37.65	61
26.49	61
28.58	46
39.23	43
19.80	41